# Pm5ThC4
Calculated powder X-ray diffraction pattern, Cu Kα X-rays. Input: a PBE-relaxed structure.
Kinematic intensities with the Lorentz-polarization factor, no thermal factor.

Largest 10 diffraction maxima, sorted by position, 2θ from 10° to 90°:
hkl	2θ (°)	intensity
2 0 2	28.5	49
4 0 -2	29.0	50
3 1 0	29.3	100
6 0 0	33.4	42
1 1 -2	33.7	80
5 1 2	47.9	28
7 1 -2	48.5	29
0 2 0	49.1	15
9 1 0	57.2	16
10 0 -2	57.3	24

```
data_Pm5ThC4
_cell_length_a 16.485
_cell_length_b 3.710
_cell_length_c 7.611
_cell_angle_alpha 90.00
_cell_angle_beta 102.43
_cell_angle_gamma 90.00
_space_group_name_H-M_alt 'C 1 2/m 1'
_space_group_IT_number 12
loop_
_space_group_symop_operation_xyz
'x,y,z'
'-x,-y,-z'
'-x,y,-z'
'x,-y,z'
'x+1/2,y+1/2,z'
'-x+1/2,-y+1/2,-z'
'-x+1/2,y+1/2,-z'
'x+1/2,-y+1/2,z'
loop_
_atom_site_label
_atom_site_type_symbol
_atom_site_fract_x
_atom_site_fract_y
_atom_site_fract_z
Pm1 Pm 0.000 0.000 0.000
Pm2 Pm 0.159 0.500 0.805
Pm3 Pm 0.167 0.500 0.354
Th1 Th 0.000 0.000 0.500
C1 C 0.004 0.500 0.752
C2 C 0.166 0.000 0.582
```



# Cu3Ag2F7
Calculated powder X-ray diffraction pattern, Cu Kα X-rays. Input: a PBE-relaxed structure.
Kinematic intensities with the Lorentz-polarization factor, no thermal factor.

Largest 10 diffraction maxima, sorted by position, 2θ from 10° to 90°:
hkl	2θ (°)	intensity
5 1 0	25.4	10
5 1 1	30.4	100
0 0 2	33.0	11
7 1 1	35.4	13
10 0 0	36.5	17
0 2 1	39.8	15
2 2 1	40.5	10
5 1 2	42.1	12
10 0 2	50.0	11
10 2 1	55.1	12

```
data_Cu3Ag2F7
_cell_length_a 24.603
_cell_length_b 4.983
_cell_length_c 5.430
_cell_angle_alpha 90.00
_cell_angle_beta 90.00
_cell_angle_gamma 90.00
_space_group_name_H-M_alt 'C m c 21'
_space_group_IT_number 36
loop_
_space_group_symop_operation_xyz
'x,y,z'
'-x,-y,z+1/2'
'-x,y,z'
'x,-y,z+1/2'
'x+1/2,y+1/2,z'
'-x+1/2,-y+1/2,z+1/2'
'-x+1/2,y+1/2,z'
'x+1/2,-y+1/2,z+1/2'
loop_
_atom_site_label
_atom_site_type_symbol
_atom_site_fract_x
_atom_site_fract_y
_atom_site_fract_z
Cu1 Cu 0.000 0.196 0.000
Cu2 Cu 0.200 0.257 0.133
Ag1 Ag 0.091 0.345 0.525
F1 F 0.000 0.482 0.733
F2 F 0.054 0.014 0.257
F3 F 0.167 0.446 0.840
F4 F 0.219 0.063 0.438
```



# AcLaCeCo2
Calculated powder X-ray diffraction pattern, Cu Kα X-rays. Input: a PBE-relaxed structure.
Kinematic intensities with the Lorentz-polarization factor, no thermal factor.

Largest 10 diffraction maxima, sorted by position, 2θ from 10° to 90°:
hkl	2θ (°)	intensity
4 0 -3	26.3	41
1 1 1	27.5	53
1 1 -2	27.8	32
3 1 -2	29.2	61
4 0 0	30.7	100
5 1 -2	37.6	53
3 1 -4	39.2	44
0 2 0	45.3	33
1 1 4	52.4	28
4 2 0	55.7	37

```
data_AcLaCeCo2
_cell_length_a 15.013
_cell_length_b 4.002
_cell_length_c 11.283
_cell_angle_alpha 90.00
_cell_angle_beta 129.10
_cell_angle_gamma 90.00
_space_group_name_H-M_alt 'C 1 2/m 1'
_space_group_IT_number 12
loop_
_space_group_symop_operation_xyz
'x,y,z'
'-x,-y,-z'
'-x,y,-z'
'x,-y,z'
'x+1/2,y+1/2,z'
'-x+1/2,-y+1/2,-z'
'-x+1/2,y+1/2,-z'
'x+1/2,-y+1/2,z'
loop_
_atom_site_label
_atom_site_type_symbol
_atom_site_fract_x
_atom_site_fract_y
_atom_site_fract_z
Ac1 Ac 0.158 0.000 0.204
La1 La 0.103 0.500 0.850
Ce1 Ce 0.109 0.000 0.494
Co1 Co 0.151 0.000 0.728
Co2 Co 0.166 0.500 0.418
```